For Sm3YP4, a structure optimized by DFT (GGA-PBE) gives the calculated XRD peak list in this record (CuKα).
Neutral-atom scattering factors, no anomalous dispersion.

Atomic structure:
```
8
Lattice="5.7750 0.0000 0.0000 0.0000 5.7750 0.0000 0.0000 0.0000 5.7750" Properties=species:S:1:pos:R:3 pbc="T T T"
Sm 0.0000 0.0000 2.8875
Sm 0.0000 2.8875 0.0000
Sm 2.8875 0.0000 0.0000
Y 2.8875 2.8875 2.8875
P 0.0000 0.0000 0.0000
P 0.0000 2.8875 2.8875
P 2.8875 0.0000 2.8875
P 2.8875 2.8875 0.0000
```

The 8 most intense peaks (10° ≤ 2θ ≤ 90°), low angle first:
2θ (°)  d [Å]  Rel. int.
26.74  3.334  75
30.97  2.887  100
44.37  2.042  73
52.56  1.741  37
55.09  1.667  25
71.17  1.325  15
73.31  1.291  32
81.68  1.179  24


For SmYP, a structure optimized by DFT (GGA-PBE) gives the calculated XRD peak list in this record (CuKα).
Neutral-atom scattering factors, no anomalous dispersion.

Atomic structure:
```
12
Lattice="7.1905 0.0000 0.0000 0.0000 6.6395 0.0000 0.0000 0.0000 6.6751" Properties=species:S:1:pos:R:3 pbc="T T T"
Sm 0.8166 0.4776 0.0000
Sm 2.7787 0.4776 3.3376
Sm 4.4118 6.1620 0.0000
Sm 6.3739 6.1620 3.3376
Y 1.7853 3.8865 2.2722
Y 1.8099 3.8865 5.6098
Y 5.3806 2.7530 2.2722
Y 5.4052 2.7530 5.6098
P 0.4356 2.0442 4.0741
P 3.1596 2.0442 0.7366
P 4.0308 4.5953 4.0741
P 6.7549 4.5953 0.7366
```

The 8 most intense peaks (10° ≤ 2θ ≤ 90°), low angle first:
2θ (°)  d [Å]  Rel. int.
26.71  3.338  31
28.20  3.164  84
29.64  3.014  66
29.97  2.982  89
31.31  2.857  100
32.56  2.750  81
39.30  2.292  47
56.91  1.618  35


For SnP, a structure optimized by DFT (GGA-PBE) gives the calculated XRD peak list in this record (CuKα).
Neutral-atom scattering factors, no anomalous dispersion.

Atomic structure:
```
8
Lattice="5.6022 0.0000 0.0000 0.0000 5.6022 0.0000 0.0000 0.0000 6.0265" Properties=species:S:1:pos:R:3 pbc="T T T"
Sn 0.0000 2.8011 1.5066
Sn 0.0000 2.8011 4.5199
Sn 2.8011 0.0000 1.5066
Sn 2.8011 0.0000 4.5199
P 0.0000 0.0000 1.0791
P 0.0000 0.0000 4.9474
P 2.8011 2.8011 1.9342
P 2.8011 2.8011 4.0923
```

The 8 most intense peaks (10° ≤ 2θ ≤ 90°), low angle first:
2θ (°)  d [Å]  Rel. int.
22.44  3.961  80
29.65  3.013  52
31.95  2.801  100
37.50  2.398  59
44.14  2.052  70
45.81  1.981  37
55.52  1.655  36
60.64  1.527  31


For SnP, a structure optimized by DFT (GGA-PBE) gives the calculated XRD peak list in this record (CuKα).
Neutral-atom scattering factors, no anomalous dispersion.

Atomic structure:
```
4
Lattice="3.8615 0.0000 0.0000 0.0000 3.8615 0.0000 0.0000 0.0000 6.0881" Properties=species:S:1:pos:R:3 pbc="T T T"
Sn 0.0000 0.0000 0.0000
Sn 1.9307 1.9307 3.0440
P 0.0000 0.0000 2.6279
P 1.9307 1.9307 5.6719
```

The 8 most intense peaks (10° ≤ 2θ ≤ 90°), low angle first:
2θ (°)  d [Å]  Rel. int.
27.35  3.261  100
29.34  3.044  50
32.80  2.730  84
44.58  2.033  64
47.07  1.931  31
50.83  1.796  30
55.29  1.661  32
56.44  1.630  32


Number 2 is which compound? SmYP